[1]
This entry pairs a crystal structure of Ti3N2 with its computed PXRD pattern. Radiation: Cu Kα. Structure: a DFT-relaxed cell (GGA-PBE, the Materials Project).
Kinematic intensities with the Lorentz-polarization factor, no thermal factor.

Principal peaks in the range 5° ≤ 2θ ≤ 70°, low angle first:
d [Å]	I (rel.)
7.396	31
3.698	11
2.567	80
2.465	45
2.458	80
2.130	100
1.956	80
1.641	24
1.508	14
1.505	55

a = 3.0094 Å, b = 3.0094 Å, c = 14.7917 Å
α = 90.00°, β = 90.00°, γ = 120.00°
Positions (direct):
Ti 0.0000 0.0000 0.0000
Ti 0.0000 0.0000 0.5000
Ti 0.3333 0.6667 0.1593
Ti 0.3333 0.6667 0.3407
Ti 0.6667 0.3333 0.6593
Ti 0.6667 0.3333 0.8407
N 0.3333 0.6667 0.5858
N 0.3333 0.6667 0.9142
N 0.6667 0.3333 0.0858
N 0.6667 0.3333 0.4142


[2]
This entry pairs a crystal structure of MgBi4O8 with its computed PXRD pattern. Radiation: Cu Kα. Structure: a DFT-relaxed cell (GGA-PBE, the Materials Project).
Kinematic intensities with the Lorentz-polarization factor, no thermal factor.

Principal peaks in the range 5° ≤ 2θ ≤ 70°, low angle first:
d [Å]	I (rel.)
4.993	20
3.652	17
3.630	22
3.430	42
3.104	38
3.075	36
2.910	100
2.229	15
2.029	14
1.680	28

a = 5.8232 Å, b = 6.2618 Å, c = 6.7336 Å
α = 108.90°, β = 90.14°, γ = 117.07°
Positions (direct):
Mg 0.0000 0.0000 0.0000
Bi 0.0803 0.1402 0.5129
Bi 0.3075 0.6110 0.1245
Bi 0.5229 0.0571 0.7764
Bi 0.7470 0.5008 0.3851
O 0.0046 0.3102 0.8540
O 0.0464 0.3353 0.2719
O 0.0705 0.8588 0.6876
O 0.0792 0.8205 0.1985
O 0.4325 0.2969 0.0636
O 0.5054 0.3026 0.5888
O 0.5856 0.7936 0.4227
O 0.5856 0.8393 0.9740


[3]
This entry pairs a crystal structure of Cs2Cu3P4O14 with its computed PXRD pattern. Radiation: Cu Kα. Structure: a DFT-relaxed cell (GGA-PBE, the Materials Project).
Kinematic intensities with the Lorentz-polarization factor, no thermal factor.

Principal peaks in the range 5° ≤ 2θ ≤ 70°, low angle first:
d [Å]	I (rel.)
3.888	34
3.663	28
3.612	45
3.322	100
3.179	29
3.167	44
3.144	67
3.024	64
2.668	23
2.525	34

a = 8.0153 Å, b = 11.0468 Å, c = 7.8925 Å
α = 90.00°, β = 104.06°, γ = 90.00°
Positions (direct):
Cs 0.2448 0.1856 0.0399
Cs 0.2448 0.3144 0.5399
Cs 0.7552 0.6856 0.4601
Cs 0.7552 0.8144 0.9601
Cu 0.2173 0.6083 0.2282
Cu 0.2173 0.8917 0.7282
Cu 0.5000 0.0000 0.5000
Cu 0.5000 0.5000 0.0000
Cu 0.7827 0.1083 0.2718
Cu 0.7827 0.3917 0.7718
P 0.1191 0.5490 0.8374
P 0.1191 0.9510 0.3374
P 0.3682 0.6579 0.6535
P 0.3682 0.8421 0.1535
P 0.6318 0.1579 0.8465
P 0.6318 0.3421 0.3465
P 0.8809 0.0490 0.6626
P 0.8809 0.4510 0.1626
O 0.0412 0.5051 0.2869
O 0.0412 0.9949 0.7869
O 0.0773 0.6243 0.9852
O 0.0773 0.8757 0.4852
O 0.1868 0.6463 0.7132
O 0.1868 0.8537 0.2132
O 0.2615 0.0460 0.3966
O 0.2615 0.4540 0.8966
O 0.3475 0.6015 0.4736
O 0.3475 0.8985 0.9736
O 0.4002 0.7038 0.1596
O 0.4002 0.7962 0.6596
O 0.4903 0.0913 0.7125
O 0.4903 0.4087 0.2125
O 0.5097 0.5913 0.7875
O 0.5097 0.9087 0.2875
O 0.5998 0.2038 0.3404
O 0.5998 0.2962 0.8404
O 0.6525 0.1015 0.0264
O 0.6525 0.3985 0.5264
O 0.7385 0.5460 0.1034
O 0.7385 0.9540 0.6034
O 0.8132 0.1463 0.7868
O 0.8132 0.3537 0.2868
O 0.9227 0.1243 0.5148
O 0.9227 0.3757 0.0148
O 0.9588 0.0051 0.2131
O 0.9588 0.4949 0.7131


[4]
This entry pairs a crystal structure of Al4C3 with its computed PXRD pattern. Radiation: Cu Kα. Structure: a DFT-relaxed cell (GGA-PBE, the Materials Project).
Kinematic intensities with the Lorentz-polarization factor, no thermal factor.

Principal peaks in the range 5° ≤ 2θ ≤ 70°, low angle first:
d [Å]	I (rel.)
2.885	40
2.830	90
2.515	58
2.258	100
2.093	43
1.900	21
1.795	14
1.677	94
1.526	30
1.346	20

a = 8.5932 Å, b = 8.5932 Å, c = 8.5932 Å
α = 22.51°, β = 22.51°, γ = 22.51°
Positions (direct):
Al 0.1299 0.1299 0.1299
Al 0.2935 0.2935 0.2935
Al 0.7065 0.7065 0.7065
Al 0.8701 0.8701 0.8701
C 0.0000 0.0000 0.0000
C 0.2167 0.2167 0.2167
C 0.7833 0.7833 0.7833


[5]
This entry pairs a crystal structure of Ca2TaNb2O8 with its computed PXRD pattern. Radiation: Cu Kα. Structure: a DFT-relaxed cell (GGA-PBE, the Materials Project).
Kinematic intensities with the Lorentz-polarization factor, no thermal factor.

Principal peaks in the range 5° ≤ 2θ ≤ 70°, low angle first:
d [Å]	I (rel.)
9.613	100
4.700	42
4.394	37
3.403	36
3.207	57
2.981	46
2.798	52
2.781	35
2.723	44
2.690	52

a = 5.3959 Å, b = 6.4488 Å, c = 9.9683 Å
α = 104.83°, β = 93.28°, γ = 92.03°
Positions (direct):
Ca 0.2347 0.0485 0.4144
Ca 0.2541 0.6308 0.5630
Ca 0.7459 0.3692 0.4370
Ca 0.7653 0.9515 0.5856
Ta 0.2429 0.8528 0.9974
Ta 0.7571 0.1472 0.0026
Nb 0.2761 0.2589 0.7623
Nb 0.2867 0.5018 0.2215
Nb 0.7133 0.4982 0.7785
Nb 0.7239 0.7411 0.2377
O 0.0426 0.3957 0.6482
O 0.0844 0.1712 0.1019
O 0.0887 0.7254 0.1354
O 0.1723 0.9741 0.6265
O 0.3449 0.3554 0.3651
O 0.3852 0.5973 0.8877
O 0.4136 0.0530 0.8901
O 0.4574 0.7622 0.3759
O 0.5426 0.2378 0.6241
O 0.5864 0.9470 0.1099
O 0.6148 0.4027 0.1123
O 0.6551 0.6446 0.6349
O 0.8277 0.0259 0.3735
O 0.9113 0.2746 0.8646
O 0.9156 0.8288 0.8981
O 0.9574 0.6043 0.3518


[6]
This entry pairs a crystal structure of BaCaHfNbO6 with its computed PXRD pattern. Radiation: Cu Kα. Structure: a DFT-relaxed cell (GGA-PBE, the Materials Project).
Kinematic intensities with the Lorentz-polarization factor, no thermal factor.

Principal peaks in the range 5° ≤ 2θ ≤ 70°, low angle first:
d [Å]	I (rel.)
4.770	18
4.131	13
2.921	100
2.491	11
2.065	32
1.895	5
1.847	5
1.686	40
1.590	4
1.460	19

a = 5.8417 Å, b = 5.8417 Å, c = 5.8417 Å
α = 60.00°, β = 60.00°, γ = 60.00°
Positions (direct):
Ba 0.0000 0.0000 0.0000
Ca 0.5000 0.5000 0.5000
Hf 0.2500 0.2500 0.2500
Nb 0.7500 0.7500 0.7500
O 0.5018 0.5018 0.9982
O 0.5018 0.9982 0.5018
O 0.5018 0.9982 0.9982
O 0.9982 0.5018 0.5018
O 0.9982 0.5018 0.9982
O 0.9982 0.9982 0.5018


[7]
This entry pairs a crystal structure of Na2CO3 with its computed PXRD pattern. Radiation: Cu Kα. Structure: a DFT-relaxed cell (GGA-PBE, the Materials Project).
Kinematic intensities with the Lorentz-polarization factor, no thermal factor.

Principal peaks in the range 5° ≤ 2θ ≤ 70°, low angle first:
d [Å]	I (rel.)
3.718	16
3.201	66
2.637	61
2.621	100
2.151	76
1.859	73
1.726	12
1.600	19
1.559	22
1.368	13

a = 5.2732 Å, b = 5.2732 Å, c = 6.4016 Å
α = 90.00°, β = 90.00°, γ = 120.00°
Positions (direct):
Na 0.0000 0.0000 0.0000
Na 0.0000 0.0000 0.5000
Na 0.3333 0.6667 0.2500
Na 0.6667 0.3333 0.7500
C 0.3333 0.6667 0.7500
C 0.6667 0.3333 0.2500
O 0.1910 0.3820 0.7500
O 0.1910 0.8090 0.7500
O 0.3820 0.1910 0.2500
O 0.6180 0.8090 0.7500
O 0.8090 0.1910 0.2500
O 0.8090 0.6180 0.2500


[8]
This entry pairs a crystal structure of Cd3B2O6 with its computed PXRD pattern. Radiation: Cu Kα. Structure: a DFT-relaxed cell (GGA-PBE, the Materials Project).
Kinematic intensities with the Lorentz-polarization factor, no thermal factor.

Principal peaks in the range 5° ≤ 2θ ≤ 70°, low angle first:
d [Å]	I (rel.)
4.282	41
3.792	18
3.049	21
2.923	100
2.734	47
2.484	44
1.896	26
1.813	35
1.735	20
1.693	17

a = 4.8422 Å, b = 6.0989 Å, c = 9.1760 Å
α = 90.00°, β = 90.00°, γ = 90.00°
Positions (direct):
Cd 0.0000 0.0000 0.0000
Cd 0.0000 0.5000 0.1887
Cd 0.0000 0.5000 0.8113
Cd 0.5000 0.0000 0.3113
Cd 0.5000 0.0000 0.6887
Cd 0.5000 0.5000 0.5000
B 0.0342 0.2414 0.5000
B 0.4658 0.7414 0.0000
B 0.5342 0.2586 0.0000
B 0.9658 0.7586 0.5000
O 0.1787 0.2833 0.3702
O 0.1787 0.2833 0.6298
O 0.2410 0.8205 0.5000
O 0.2590 0.3205 0.0000
O 0.3213 0.7833 0.1298
O 0.3213 0.7833 0.8702
O 0.6787 0.2167 0.1298
O 0.6787 0.2167 0.8702
O 0.7410 0.6795 0.0000
O 0.7590 0.1795 0.5000
O 0.8213 0.7167 0.3702
O 0.8213 0.7167 0.6298


[9]
This entry pairs a crystal structure of KSbClF3 with its computed PXRD pattern. Radiation: Cu Kα. Structure: a DFT-relaxed cell (GGA-PBE, the Materials Project).
Kinematic intensities with the Lorentz-polarization factor, no thermal factor.

Principal peaks in the range 5° ≤ 2θ ≤ 70°, low angle first:
d [Å]	I (rel.)
5.501	55
5.380	39
4.129	47
3.785	86
3.622	42
3.513	100
3.416	56
3.302	50
2.514	45
2.273	47

a = 8.0327 Å, b = 8.2586 Å, c = 15.0993 Å
α = 90.00°, β = 90.00°, γ = 90.00°
Positions (direct):
K 0.1816 0.1957 0.0574
K 0.1816 0.3043 0.5574
K 0.3184 0.6957 0.0574
K 0.3184 0.8043 0.5574
K 0.6816 0.1957 0.4426
K 0.6816 0.3043 0.9426
K 0.8184 0.6957 0.4426
K 0.8184 0.8043 0.9426
Sb 0.1300 0.0047 0.3245
Sb 0.1300 0.4953 0.8245
Sb 0.3700 0.5047 0.3245
Sb 0.3700 0.9953 0.8245
Sb 0.6300 0.0047 0.1755
Sb 0.6300 0.4953 0.6755
Sb 0.8700 0.5047 0.1755
Sb 0.8700 0.9953 0.6755
Cl 0.0184 0.1230 0.8494
Cl 0.0184 0.3770 0.3494
Cl 0.4816 0.6230 0.8494
Cl 0.4816 0.8770 0.3494
Cl 0.5184 0.1230 0.6506
Cl 0.5184 0.3770 0.1506
Cl 0.9816 0.6230 0.6506
Cl 0.9816 0.8770 0.1506
F 0.1074 0.7289 0.8542
F 0.1074 0.7711 0.3542
F 0.1148 0.5050 0.1510
F 0.1148 0.9950 0.6510
F 0.1644 0.0387 0.4539
F 0.1644 0.4613 0.9539
F 0.3356 0.5387 0.4539
F 0.3356 0.9613 0.9539
F 0.3852 0.0050 0.1510
F 0.3852 0.4950 0.6510
F 0.3926 0.2289 0.8542
F 0.3926 0.2711 0.3542
F 0.6074 0.7289 0.6458
F 0.6074 0.7711 0.1458
F 0.6148 0.5050 0.3490
F 0.6148 0.9950 0.8490
F 0.6644 0.0387 0.0461
F 0.6644 0.4613 0.5461
F 0.8356 0.5387 0.0461
F 0.8356 0.9613 0.5461
F 0.8852 0.0050 0.3490
F 0.8852 0.4950 0.8490
F 0.8926 0.2289 0.6458
F 0.8926 0.2711 0.1458


[10]
This entry pairs a crystal structure of Mg7Si4 with its computed PXRD pattern. Radiation: Cu Kα. Structure: a DFT-relaxed cell (GGA-PBE, the Materials Project).
Kinematic intensities with the Lorentz-polarization factor, no thermal factor.

Principal peaks in the range 5° ≤ 2θ ≤ 70°, low angle first:
d [Å]	I (rel.)
2.685	68
2.552	100
2.533	38
2.472	37
2.388	83
2.364	50
2.354	81
2.345	48
2.247	70
2.225	54

a = 5.1565 Å, b = 5.9833 Å, c = 14.2647 Å
α = 92.75°, β = 94.93°, γ = 96.50°
Positions (direct):
Mg 0.0000 0.0000 0.0000
Mg 0.0071 0.8701 0.2518
Mg 0.0718 0.4981 0.9787
Mg 0.1181 0.3574 0.1846
Mg 0.2071 0.3894 0.3939
Mg 0.2263 0.1852 0.5797
Mg 0.2575 0.6921 0.5883
Mg 0.2776 0.9789 0.7869
Mg 0.3089 0.4813 0.7880
Mg 0.5226 0.0237 0.1414
Mg 0.6248 0.5348 0.1012
Mg 0.7482 0.4619 0.6428
Mg 0.7512 0.9628 0.6612
Mg 0.7785 0.7200 0.4543
Si 0.3143 0.8940 0.4171
Si 0.4944 0.7967 0.9520
Si 0.4969 0.6999 0.2784
Si 0.5186 0.2098 0.9527
Si 0.6771 0.2168 0.4668
Si 0.6869 0.3337 0.2951
Si 0.7954 0.2831 0.8187
Si 0.8125 0.7118 0.8272